# 1
Simulated XRD peak list of PuSn3 for Cu Ka, from DFT lattice parameters and positions (GGA-PBE).
Lines closer than 0.1° are merged.

The 10 most intense peaks (2θ from 10° to 90°), by intensity:
d_spacing, 2theta, I (rel.)
2.649, 33.8, 100
2.294, 39.3, 50
1.383, 67.7, 43
1.622, 56.8, 35
1.324, 71.2, 12
4.588, 19.3, 10
3.244, 27.5, 9
1.147, 84.5, 6
2.052, 44.1, 5
1.873, 48.6, 4

Crystal structure
a = 4.588 Å, b = 4.588 Å, c = 4.588 Å
α = 90.00°, β = 90.00°, γ = 90.00°
Space group Pm-3m (No. 221)
Unique sites:
Pu 0.000 0.000 0.000
Sn 0.000 0.500 0.500

***

# 2
Simulated XRD peak list of TbPu for Cu Ka, from DFT lattice parameters and positions (GGA-PBE).
Lines closer than 0.1° are merged.

The 10 most intense peaks (2θ from 10° to 90°), by intensity:
d_spacing, 2theta, I (rel.)
2.725, 32.9, 100
2.931, 30.5, 27
3.078, 29.0, 25
1.519, 61.0, 23
1.650, 55.7, 23
1.777, 51.4, 19
2.122, 42.6, 18
1.488, 62.4, 16
1.141, 85.0, 14
1.131, 86.0, 9

Crystal structure
a = 3.5539 Å, b = 3.5539 Å, c = 5.8614 Å
α = 90.00°, β = 90.00°, γ = 120.00°
Space group P-6m2 (No. 187)
Unique sites:
Tb 0.0000 0.0000 0.0000
Pu 0.3333 0.6667 0.5000

***

# 3
Simulated XRD peak list of PuTe for Cu Ka, from DFT lattice parameters and positions (GGA-PBE).
Lines closer than 0.1° are merged.

The 10 most intense peaks (2θ from 10° to 90°), by intensity:
d_spacing, 2theta, I (rel.)
3.149, 28.3, 100
2.227, 40.5, 78
1.408, 66.4, 37
1.818, 50.2, 28
1.285, 73.7, 27
3.636, 24.5, 17
1.574, 58.6, 13
1.899, 47.9, 10
1.113, 87.7, 9
1.445, 64.5, 4

Crystal structure
a = 6.298 Å, b = 6.298 Å, c = 6.298 Å
α = 90.00°, β = 90.00°, γ = 90.00°
Space group Fm-3m (No. 225)
Unique sites:
Pu 0.000 0.000 0.000
Te 0.000 0.000 0.500

***

# 4
Simulated XRD peak list of PuTe for Cu Ka, from DFT lattice parameters and positions (GGA-PBE).
Lines closer than 0.1° are merged.

The 10 most intense peaks (2θ from 10° to 90°), by intensity:
d_spacing, 2theta, I (rel.)
2.690, 33.3, 100
1.553, 59.5, 39
1.902, 47.8, 18
1.203, 79.7, 17
1.345, 69.9, 12
3.804, 23.4, 11
1.701, 53.9, 5
1.098, 89.2, 4
2.196, 41.1, 4
1.268, 74.9, 3

Crystal structure
a = 3.804 Å, b = 3.804 Å, c = 3.804 Å
α = 90.00°, β = 90.00°, γ = 90.00°
Space group Pm-3m (No. 221)
Unique sites:
Pu 0.000 0.000 0.000
Te 0.500 0.500 0.500

***

# 5
Simulated XRD peak list of Pu2Te3 for Cu Ka, from DFT lattice parameters and positions (GGA-PBE).
Lines closer than 0.1° are merged.

The 10 most intense peaks (2θ from 10° to 90°), by intensity:
d_spacing, 2theta, I (rel.)
2.941, 30.4, 100
2.486, 36.1, 68
3.798, 23.4, 23
1.508, 61.5, 21
2.081, 43.5, 17
1.983, 45.7, 16
1.899, 47.9, 12
1.823, 50.0, 12
1.511, 61.3, 11
1.435, 65.0, 10

Crystal structure
a = 9.292 Å, b = 9.292 Å, c = 27.967 Å
α = 90.00°, β = 90.00°, γ = 90.00°
Space group I-42d (No. 122)
Unique sites:
Pu 0.000 0.000 0.168
Pu 0.120 0.250 0.625
Pu 0.131 0.246 0.291
Te 0.074 0.175 0.066
Te 0.074 0.178 0.398
Te 0.077 0.173 0.733

***

# 6
Simulated XRD peak list of PuTe2 for Cu Ka, from DFT lattice parameters and positions (GGA-PBE).
Lines closer than 0.1° are merged.

The 10 most intense peaks (2θ from 10° to 90°), by intensity:
d_spacing, 2theta, I (rel.)
2.537, 35.4, 100
2.935, 30.5, 64
2.203, 41.0, 58
2.431, 37.0, 51
3.935, 22.6, 42
3.116, 28.6, 35
1.632, 56.4, 31
2.914, 30.7, 30
1.757, 52.0, 27
1.328, 71.0, 27

Crystal structure
a = 4.407 Å, b = 4.407 Å, c = 8.742 Å
α = 90.00°, β = 90.00°, γ = 90.00°
Space group P4/nmm (No. 129, origin choice 2)
Unique sites:
Pu 0.250 0.250 0.226
Te 0.250 0.250 0.863
Te 0.250 0.750 0.500

***

# 7
Simulated XRD peak list of PuTh for Cu Ka, from DFT lattice parameters and positions (GGA-PBE).
Lines closer than 0.1° are merged.

The 10 most intense peaks (2θ from 10° to 90°), by intensity:
d_spacing, 2theta, I (rel.)
2.843, 31.5, 100
2.454, 36.6, 67
2.804, 31.9, 32
1.481, 62.7, 29
1.744, 52.5, 25
1.726, 53.1, 24
1.487, 62.5, 15
1.470, 63.3, 14
1.132, 85.9, 13
1.422, 65.7, 13

Crystal structure
a = 3.4885 Å, b = 3.4885 Å, c = 16.8264 Å
α = 90.00°, β = 90.00°, γ = 120.00°
Space group R-3m (No. 166, hexagonal axes)
Unique sites:
Pu 0.0000 0.0000 0.0000
Th 0.0000 0.0000 0.5000

***

# 8
Simulated XRD peak list of YPu3 for Cu Ka, from DFT lattice parameters and positions (GGA-PBE).
Lines closer than 0.1° are merged.

The 10 most intense peaks (2θ from 10° to 90°), by intensity:
d_spacing, 2theta, I (rel.)
2.624, 34.2, 100
2.792, 32.1, 26
2.972, 30.1, 23
1.462, 63.6, 23
1.578, 58.5, 22
1.716, 53.4, 19
2.035, 44.5, 16
1.436, 64.9, 16
1.101, 88.8, 14
1.161, 83.2, 8

Crystal structure
a = 6.8647 Å, b = 6.8647 Å, c = 5.5843 Å
α = 90.00°, β = 90.00°, γ = 120.00°
Space group P6_3/mmc (No. 194)
Unique sites:
Y 0.3333 0.6667 0.2500
Pu 0.1627 0.3255 0.7500

***

# 9
Simulated XRD peak list of Pu3Zn for Cu Ka, from DFT lattice parameters and positions (GGA-PBE).
Lines closer than 0.1° are merged.

The 10 most intense peaks (2θ from 10° to 90°), by intensity:
d_spacing, 2theta, I (rel.)
2.473, 36.3, 100
2.615, 34.3, 26
2.807, 31.9, 23
1.377, 68.1, 22
1.481, 62.7, 21
1.620, 56.8, 18
3.826, 23.2, 17
1.913, 47.5, 16
1.355, 69.3, 15
1.093, 89.7, 8

Crystal structure
a = 6.4814 Å, b = 6.4814 Å, c = 5.2298 Å
α = 90.00°, β = 90.00°, γ = 120.00°
Space group P6_3/mmc (No. 194)
Unique sites:
Pu 0.1725 0.3450 0.2500
Zn 0.3333 0.6667 0.7500

***

# 10
Simulated XRD peak list of Pu2Zn17 for Cu Ka, from DFT lattice parameters and positions (GGA-PBE).
Lines closer than 0.1° are merged.

The 10 most intense peaks (2θ from 10° to 90°), by intensity:
d_spacing, 2theta, I (rel.)
2.229, 40.5, 100
2.574, 34.9, 24
3.151, 28.3, 24
1.287, 73.6, 21
1.576, 58.6, 18
2.354, 38.2, 17
1.114, 87.6, 16
1.409, 66.3, 14
2.773, 32.3, 12
1.521, 60.9, 10

Crystal structure
a = 8.9167 Å, b = 8.9167 Å, c = 8.9081 Å
α = 90.00°, β = 90.00°, γ = 120.00°
Space group P6_3/mmc (No. 194)
Unique sites:
Pu 0.0000 0.0000 0.2500
Pu 0.3333 0.6667 0.2500
Zn 0.0000 0.5000 0.0000
Zn 0.0319 0.3612 0.7500
Zn 0.1615 0.3231 0.0181
Zn 0.3333 0.6667 0.5971

***

# 11
Simulated XRD peak list of Pu2Zn17 for Cu Ka, from DFT lattice parameters and positions (GGA-PBE).
Lines closer than 0.1° are merged.

The 10 most intense peaks (2θ from 10° to 90°), by intensity:
d_spacing, 2theta, I (rel.)
2.242, 40.2, 100
2.253, 40.0, 56
2.602, 34.5, 45
3.154, 28.3, 44
2.206, 40.9, 44
1.577, 58.5, 24
2.525, 35.5, 23
1.301, 72.7, 22
1.281, 74.0, 20
1.422, 65.7, 18

Crystal structure
a = 9.0130 Å, b = 9.0130 Å, c = 13.2490 Å
α = 90.00°, β = 90.00°, γ = 120.00°
Space group R-3m (No. 166, hexagonal axes)
Unique sites:
Pu 0.0000 0.0000 0.1651
Zn 0.0000 0.0000 0.3985
Zn 0.0000 0.3006 0.5000
Zn 0.0000 0.5000 0.0000
Zn 0.0096 0.5048 0.6526

***

# 12
Simulated XRD peak list of Pu3Zn22 for Cu Ka, from DFT lattice parameters and positions (GGA-PBE).
Lines closer than 0.1° are merged.

The 10 most intense peaks (2θ from 10° to 90°), by intensity:
d_spacing, 2theta, I (rel.)
2.275, 39.6, 100
2.323, 38.8, 92
2.217, 40.7, 63
2.128, 42.5, 37
2.425, 37.1, 36
2.897, 30.9, 35
3.459, 25.8, 31
1.588, 58.1, 26
3.135, 28.5, 24
1.291, 73.3, 23

Crystal structure
a = 8.868 Å, b = 8.868 Å, c = 21.208 Å
α = 90.00°, β = 90.00°, γ = 90.00°
Space group I4_1/amd (No. 141, origin choice 2)
Unique sites:
Pu 0.000 0.250 0.253
Pu 0.000 0.250 0.875
Zn 0.000 0.000 0.000
Zn 0.000 0.031 0.376
Zn 0.000 0.096 0.739
Zn 0.000 0.100 0.118
Zn 0.230 0.009 0.189